1.
Computed powder X-ray diffraction pattern
Compound: Nb3AlC2
Radiation: a wavelength of 1.5418 Å
Structure: a PBE-relaxed structure
No peak broadening, texture or thermal motion is included.

Atomic structure:
Cell lengths 3.1305, 3.1305, 19.2499 Å; angles 90.00, 90.00, 120.00 degrees
Space group P6_3/mmc (No. 194)
Symmetry-distinct sites (fractional):
Nb: 0.0000 0.0000 0.0000 [2 per cell]
Nb: 0.3333 0.6667 0.1338 [4 per cell]
Al: 0.0000 0.0000 0.2500 [2 per cell]
C: 0.3333 0.6667 0.5692 [4 per cell]

Largest 12 diffraction maxima, in order of rising 2θ, 2θ from 10° to 90°:
- 18.4 deg, I 10, hkl 0 0 4
- 33.4 deg, I 41, hkl 1 0 1
- 34.4 deg, I 15, hkl 1 0 2
- 36.0 deg, I 15, hkl 1 0 3
- 37.4 deg, I 28, hkl 0 0 8
- 38.1 deg, I 100, hkl 1 0 4
- 40.7 deg, I 44, hkl 1 0 5
- 54.7 deg, I 21, hkl 1 0 9
- 59.0 deg, I 31, hkl 1 1 0
- 67.9 deg, I 14, hkl 1 0 12
- 72.0 deg, I 24, hkl 1 1 8
- 72.4 deg, I 14, hkl 2 0 4

---

2.
Computed powder X-ray diffraction pattern
Compound: Te2MoWS2
Radiation: a wavelength of 1.5418 Å
Structure: a PBE-relaxed structure
No peak broadening, texture or thermal motion is included.

Atomic structure:
Cell lengths 3.3600, 3.3600, 39.9301 Å; angles 90.00, 90.00, 120.00 degrees
Space group P3m1 (No. 156)
Symmetry-distinct sites (fractional):
Te: 0.0000 0.0000 0.0000 [1 per cell]
Te: 0.0000 0.0000 0.0948 [1 per cell]
Te: 0.3333 0.6667 0.1908 [1 per cell]
Te: 0.3333 0.6667 0.2859 [1 per cell]
Mo: 0.0000 0.0000 0.8609 [1 per cell]
Mo: 0.3333 0.6667 0.0474 [1 per cell]
W: 0.0000 0.0000 0.2384 [1 per cell]
W: 0.3333 0.6667 0.4249 [1 per cell]
S: 0.0000 0.0000 0.3869 [1 per cell]
S: 0.0000 0.0000 0.4630 [1 per cell]
S: 0.3333 0.6667 0.8231 [1 per cell]
S: 0.3333 0.6667 0.8989 [1 per cell]

Largest 12 diffraction maxima, in order of rising 2θ, 2θ from 10° to 90°:
- 11.1 deg, I 100, hkl 0 0 5
- 13.3 deg, I 15, hkl 0 0 6
- 30.8 deg, I 47, hkl 1 0 0
- 32.8 deg, I 12, hkl 1 0 5
- 34.6 deg, I 17, hkl 0 1 7
- 35.7 deg, I 71, hkl 1 0 8
- 36.9 deg, I 20, hkl 1 0 9
- 42.8 deg, I 46, hkl 0 1 13
- 44.5 deg, I 15, hkl 1 0 14
- 54.6 deg, I 30, hkl 1 1 0
- 55.9 deg, I 14, hkl 1 1 5
- 75.5 deg, I 13, hkl 1 1 21

---

3.
Computed powder X-ray diffraction pattern
Compound: KCN
Radiation: a wavelength of 1.5418 Å
Structure: a PBE-relaxed structure
No peak broadening, texture or thermal motion is included.

Atomic structure:
Cell lengths 4.602, 7.821, 8.436 Å; angles 70.93, 87.71, 86.07 degrees
Space group P1 (No. 1)
Symmetry-distinct sites (fractional):
K: 0.000 0.000 0.000 [1 per cell]
K: 0.085 0.539 0.502 [1 per cell]
K: 0.504 0.494 0.018 [1 per cell]
K: 0.590 0.035 0.521 [1 per cell]
C: 0.114 0.815 0.712 [1 per cell]
C: 0.486 0.754 0.210 [1 per cell]
C: 0.622 0.315 0.714 [1 per cell]
C: 0.989 0.249 0.213 [1 per cell]
N: 0.110 0.282 0.319 [1 per cell]
N: 0.477 0.215 0.817 [1 per cell]
N: 0.609 0.784 0.317 [1 per cell]
N: 0.967 0.716 0.815 [1 per cell]

Largest 12 diffraction maxima, in order of rising 2θ, 2θ from 10° to 90°:
- 22.3 deg, I 17, hkl 0 0 2
- 26.8 deg, I 86, hkl 1 1 -1
- 27.1 deg, I 95, hkl 0 2 2
- 27.5 deg, I 100, hkl 1 -1 1
- 36.8 deg, I 26, hkl 1 1 3
- 38.3 deg, I 55, hkl -1 1 3
- 38.6 deg, I 18, hkl 1 3 1
- 39.3 deg, I 22, hkl 2 0 0
- 41.1 deg, I 36, hkl -1 3 1
- 44.5 deg, I 13, hkl 1 -1 3
- 45.5 deg, I 14, hkl 0 0 4
- 50.0 deg, I 13, hkl -2 2 2